The following is a calculated PXRD pattern of V3H2O8. It was derived from a GGA+U-relaxed structure, using a wavelength of 1.5418 Å.

Largest 10 diffraction maxima, sorted by position, 10° ≤ 2θ ≤ 90°:
(0 2 0), 10.3°, I = 1000; (0 1 1), 10.7°, I = 241; (0 3 1), 18.1°, I = 258; (0 0 2), 18.8°, I = 257; (0 3 2), 24.4°, I = 157; (1 0 0), 25.7°, I = 190; (1 0 -2), 26.1°, I = 215; (1 2 -1), 26.3°, I = 162; (0 5 2), 32.2°, I = 452; (2 0 -2), 49.4°, I = 203

Structure:
```
V3H2O8
1.0
3.6925 0.0000 0.0000
0.0000 17.2237 0.0000
-3.4647 0.0000 9.4214
V H O
12 8 32
Direct
0.1259 0.0417 0.3734 V
0.1259 0.4583 0.8734 V
0.1683 0.0525 0.9151 V
0.1683 0.4475 0.4151 V
0.2010 0.6534 0.9461 V
0.2010 0.8466 0.4461 V
0.7990 0.1534 0.5539 V
0.7990 0.3466 0.0539 V
0.8317 0.5525 0.5849 V
0.8317 0.9475 0.0849 V
0.8741 0.5417 0.1266 V
0.8741 0.9583 0.6266 V
0.2185 0.7356 0.1649 H
0.2185 0.7644 0.6649 H
0.3107 0.1847 0.0458 H
0.3107 0.3153 0.5458 H
0.6893 0.6847 0.4542 H
0.6893 0.8153 0.9542 H
0.7815 0.2356 0.3351 H
0.7815 0.2644 0.8351 H
0.0158 0.5933 0.2719 O
0.0158 0.9067 0.7719 O
0.0420 0.5549 0.7914 O
0.0420 0.9451 0.2914 O
0.1023 0.7148 0.8135 O
0.1023 0.7852 0.3135 O
0.2113 0.1497 0.9646 O
0.2113 0.3503 0.4646 O
0.2759 0.1252 0.5290 O
0.2759 0.3748 0.0290 O
0.3191 0.5433 0.0698 O
0.3191 0.9567 0.5698 O
0.3224 0.5185 0.5753 O
0.3224 0.9815 0.0753 O
0.3338 0.7165 0.0958 O
0.3338 0.7835 0.5958 O
0.6662 0.2165 0.4042 O
0.6662 0.2835 0.9042 O
0.6776 0.0185 0.9247 O
0.6776 0.4815 0.4247 O
0.6809 0.0433 0.4302 O
0.6809 0.4567 0.9302 O
0.7241 0.6252 0.9710 O
0.7241 0.8748 0.4710 O
0.7887 0.6497 0.5354 O
0.7887 0.8503 0.0354 O
0.8977 0.2148 0.6865 O
0.8977 0.2852 0.1865 O
0.9580 0.0549 0.7086 O
0.9580 0.4451 0.2086 O
0.9842 0.0933 0.2281 O
0.9842 0.4067 0.7281 O
```

The following is a calculated PXRD pattern of V3H6O10. It was derived from a GGA+U-relaxed structure, using a wavelength of 1.5418 Å.

Largest 10 diffraction maxima, sorted by position, 10° ≤ 2θ ≤ 90°:
(1 0 0), 15.3°, I = 1000; (0 1 -2), 22.2°, I = 107; (0 2 1), 22.3°, I = 123; (0 2 -1), 22.7°, I = 144; (1 2 0), 24.4°, I = 129; (1 1 2), 25.7°, I = 155; (1 2 1), 25.9°, I = 126; (1 2 -1), 26.8°, I = 113; (1 1 -2), 27.1°, I = 234; (2 0 0), 30.9°, I = 248

Structure:
```
V3H6O10
1.0
5.8171 0.0000 0.0000
0.7169 8.7824 0.0000
0.4155 0.1880 9.1024
V H O
6 12 20
Direct
0.0000 0.0000 0.0000 V
0.0022 0.7404 0.7366 V
0.9447 0.4932 0.2458 V
0.9497 0.2241 0.5176 V
0.9705 0.3622 0.8779 V
0.9782 0.8599 0.3635 V
0.2666 0.6670 0.5355 H
0.3972 0.0806 0.7752 H
0.4048 0.4974 0.6597 H
0.4970 0.4676 0.4985 H
0.5201 0.6406 0.1234 H
0.5329 0.1400 0.1264 H
0.5409 0.2459 0.2619 H
0.5476 0.7338 0.9742 H
0.5557 0.1347 0.6139 H
0.5708 0.9452 0.7026 H
0.5928 0.4660 0.9487 H
0.5981 0.9795 0.3155 H
0.0190 0.4395 0.0647 O
0.0387 0.0394 0.4698 O
0.0522 0.2771 0.6832 O
0.0527 0.3489 0.3757 O
0.0606 0.6645 0.2854 O
0.0620 0.5534 0.7921 O
0.0667 0.9476 0.1820 O
0.1171 0.1723 0.9457 O
0.1206 0.8620 0.8636 O
0.1297 0.7541 0.5471 O
0.4530 0.5490 0.5682 O
0.4678 0.0417 0.6822 O
0.4918 0.6403 0.0179 O
0.4967 0.1471 0.2330 O
0.6541 0.2357 0.5353 O
0.6598 0.5088 0.2711 O
0.6654 0.3766 0.8895 O
0.6755 0.8818 0.3590 O
0.7181 0.0166 0.9848 O
0.7226 0.7893 0.7321 O
```

The following is a calculated PXRD pattern of VH2O2. It was derived from a GGA+U-relaxed structure, using a wavelength of 1.5418 Å.

Largest 10 diffraction maxima, sorted by position, 10° ≤ 2θ ≤ 90°:
(1 1 0), 24.4°, I = 1000; (0 1 1), 31.6°, I = 447; (1 0 1), 32.5°, I = 148; (1 1 1), 36.6°, I = 192; (1 2 1), 47.1°, I = 540; (2 1 1), 49.0°, I = 286; (2 2 0), 50.1°, I = 178; (0 0 2), 55.3°, I = 115; (1 1 2), 61.3°, I = 129; (3 0 1), 63.2°, I = 129

Structure:
```
VH2O2
1.0
4.9253 0.0000 0.0000
0.0000 5.4103 0.0000
0.0000 0.0000 3.3244
V H O
2 4 4
Direct
0.0000 0.0000 0.0000 V
0.5000 0.5000 0.5000 V
0.0061 0.3337 0.5000 H
0.4939 0.8337 0.0000 H
0.5061 0.1663 0.0000 H
0.9939 0.6663 0.5000 H
0.1577 0.7686 0.5000 O
0.3423 0.2686 0.0000 O
0.6577 0.7314 0.0000 O
0.8423 0.2314 0.5000 O
```

The following is a calculated PXRD pattern of V3H2O8. It was derived from a GGA+U-relaxed structure, using a wavelength of 1.5418 Å.

Largest 10 diffraction maxima, sorted by position, 10° ≤ 2θ ≤ 90°:
(0 0 2), 10.4°, I = 1000; (0 1 1), 10.8°, I = 245; (0 1 3), 18.3°, I = 320; (0 2 0), 19.0°, I = 205; (0 2 3), 24.7°, I = 194; (1 1 0), 25.8°, I = 458; (1 1 3), 30.6°, I = 223; (0 2 5), 32.5°, I = 447; (0 4 5), 47.2°, I = 122; (2 0 0), 48.9°, I = 233

Structure:
```
V3H2O8
1.0
3.7241 0.0000 0.0000
0.0000 9.3477 0.0000
-0.4438 0.0000 17.0214
V H O
12 8 32
Direct
0.2279 0.0586 0.3450 V
0.2279 0.4414 0.8450 V
0.2498 0.0931 0.9500 V
0.2498 0.4069 0.4500 V
0.2515 0.1232 0.5475 V
0.2515 0.3768 0.0475 V
0.7485 0.6232 0.9525 V
0.7485 0.8768 0.4525 V
0.7502 0.5931 0.5500 V
0.7502 0.9069 0.0500 V
0.7721 0.5586 0.1550 V
0.7721 0.9414 0.6550 V
0.0156 0.2215 0.7527 H
0.0156 0.2785 0.2527 H
0.4452 0.6198 0.7530 H
0.4452 0.8802 0.2530 H
0.5548 0.1198 0.7470 H
0.5548 0.3802 0.2470 H
0.9844 0.7215 0.7473 H
0.9844 0.7785 0.2473 H
0.1817 0.1991 0.2797 O
0.1817 0.3009 0.7797 O
0.2172 0.6065 0.7792 O
0.2172 0.8935 0.2792 O
0.2439 0.5706 0.9564 O
0.2439 0.9294 0.4564 O
0.2484 0.0392 0.8609 O
0.2477 0.2094 0.4438 O
0.2477 0.2906 0.9438 O
0.2484 0.4608 0.3609 O
0.2502 0.5750 0.5206 O
0.2502 0.9250 0.0206 O
0.2570 0.2263 0.0949 O
0.2570 0.2737 0.5949 O
0.2697 0.5204 0.1279 O
0.2697 0.9796 0.6279 O
0.7303 0.0204 0.3721 O
0.7303 0.4796 0.8721 O
0.7430 0.7263 0.4051 O
0.7430 0.7737 0.9051 O
0.7498 0.0750 0.9794 O
0.7498 0.4250 0.4794 O
0.7516 0.5392 0.6391 O
0.7523 0.7094 0.0562 O
0.7523 0.7906 0.5562 O
0.7516 0.9608 0.1391 O
0.7561 0.0706 0.5436 O
0.7561 0.4294 0.0436 O
0.7828 0.1065 0.7208 O
0.7828 0.3935 0.2208 O
0.8183 0.6991 0.2203 O
0.8183 0.8009 0.7203 O
```

The following is a calculated PXRD pattern of V3H2O8. It was derived from a GGA+U-relaxed structure, using a wavelength of 1.5418 Å.

Largest 10 diffraction maxima, sorted by position, 10° ≤ 2θ ≤ 90°:
(2 0 0), 10.3°, I = 1000; (1 1 0), 10.5°, I = 259; (3 1 0), 18.1°, I = 324; (0 2 0), 18.4°, I = 215; (3 2 0), 24.2°, I = 222; (0 1 1), 25.9°, I = 486; (2 0 1), 26.3°, I = 154; (3 1 1), 30.3°, I = 228; (5 2 0), 32.0°, I = 543; (0 0 2), 49.4°, I = 231

Structure:
```
V3H2O8
1.0
17.1409 0.0000 0.0000
0.0000 9.6312 0.0000
0.0000 0.0000 3.6897
V H O
12 8 32
Direct
0.0494 0.0948 0.0000 V
0.0494 0.6254 0.5159 V
0.1534 0.4420 0.0227 V
0.3466 0.9420 0.5227 V
0.4506 0.1254 0.0159 V
0.4506 0.5948 0.5000 V
0.5494 0.4052 0.0000 V
0.5494 0.8746 0.5159 V
0.6534 0.0580 0.0227 V
0.8466 0.5580 0.5227 V
0.9506 0.3746 0.0159 V
0.9506 0.9052 0.5000 V
0.2333 0.0799 0.6638 H
0.2339 0.7587 0.5815 H
0.2661 0.2587 0.0815 H
0.2667 0.5799 0.1638 H
0.7333 0.4201 0.6638 H
0.7339 0.7413 0.5815 H
0.7661 0.2413 0.0815 H
0.7667 0.9201 0.1638 H
0.0187 0.0736 0.5013 O
0.0443 0.5729 0.0129 O
0.0512 0.2853 0.0078 O
0.1031 0.7644 0.5158 O
0.1238 0.4742 0.5111 O
0.1390 0.0449 0.9912 O
0.2153 0.2959 0.0103 O
0.2227 0.5854 0.9925 O
0.2773 0.0854 0.4925 O
0.2847 0.7959 0.5103 O
0.3610 0.5449 0.4912 O
0.3762 0.9742 0.0111 O
0.3969 0.2644 0.0158 O
0.4488 0.7853 0.5078 O
0.4557 0.0729 0.5129 O
0.4813 0.5736 0.0013 O
0.5187 0.4264 0.5013 O
0.5443 0.9271 0.0129 O
0.5512 0.2147 0.0078 O
0.6031 0.7356 0.5158 O
0.6238 0.0258 0.5111 O
0.6390 0.4551 0.9912 O
0.7153 0.2041 0.0103 O
0.7227 0.9146 0.9925 O
0.7773 0.4146 0.4925 O
0.7847 0.7041 0.5103 O
0.8610 0.9551 0.4912 O
0.8762 0.5258 0.0111 O
0.8969 0.2356 0.0158 O
0.9488 0.7147 0.5078 O
0.9557 0.4271 0.5129 O
0.9813 0.9264 0.0013 O
```

The following is a calculated PXRD pattern of V3H6O10. It was derived from a GGA+U-relaxed structure, using a wavelength of 1.5418 Å.

Largest 10 diffraction maxima, sorted by position, 10° ≤ 2θ ≤ 90°:
(1 0 0), 14.7°, I = 1000; (0 2 1), 22.2°, I = 429; (1 2 -1), 26.6°, I = 465; (1 2 1), 26.8°, I = 183; (1 1 2), 26.9°, I = 199; (0 2 2), 28.1°, I = 71; (2 0 0), 29.7°, I = 245; (0 3 1), 31.6°, I = 292; (3 0 0), 45.2°, I = 162; (0 4 4), 58.2°, I = 65

Structure:
```
V3H6O10
1.0
6.0104 0.0000 0.0000
0.0000 8.9778 0.0000
-0.1558 0.0000 8.9555
V H O
6 12 20
Direct
0.0000 0.1076 0.0000 V
0.0000 0.8924 0.5000 V
0.0137 0.2478 0.6428 V
0.0137 0.7522 0.1428 V
0.9962 0.3837 0.2787 V
0.9962 0.6163 0.7787 V
0.3922 0.4770 0.9903 H
0.3922 0.5230 0.4903 H
0.4650 0.3182 0.9440 H
0.4650 0.6818 0.4440 H
0.4918 0.0462 0.2053 H
0.4918 0.9538 0.7053 H
0.5575 0.0448 0.3715 H
0.5575 0.9552 0.8715 H
0.6097 0.3609 0.1985 H
0.6097 0.6391 0.6985 H
0.6159 0.2924 0.5913 H
0.6159 0.7076 0.0913 H
0.0612 0.2497 0.1443 O
0.0612 0.7503 0.6443 O
0.0949 0.4441 0.7240 O
0.0949 0.5559 0.2240 O
0.1005 0.3419 0.4564 O
0.1005 0.6581 0.9564 O
0.1085 0.0648 0.5584 O
0.1085 0.9352 0.0584 O
0.1104 0.1737 0.8310 O
0.1104 0.8263 0.3310 O
0.4782 0.1050 0.2957 O
0.4782 0.8950 0.7957 O
0.4968 0.3977 0.0157 O
0.4968 0.6023 0.5157 O
0.7053 0.3885 0.2878 O
0.7053 0.6115 0.7878 O
0.7195 0.2317 0.6509 O
0.7195 0.7683 0.1509 O
0.7294 0.0921 0.9826 O
0.7294 0.9079 0.4826 O
```

The following is a calculated PXRD pattern of V3H5O8. It was derived from a GGA+U-relaxed structure, using a wavelength of 1.5418 Å.

Largest 10 diffraction maxima, sorted by position, 10° ≤ 2θ ≤ 90°:
(0 1 0), 18.5°, I = 1000; (0 1 -1), 22.4°, I = 226; (0 1 2), 22.9°, I = 584; (0 0 3), 27.4°, I = 428; (1 1 0), 35.4°, I = 483; (1 -1 1), 35.7°, I = 435; (0 1 5), 46.1°, I = 304; (1 2 0), 49.0°, I = 198; (1 -2 1), 49.4°, I = 188; (2 0 1), 60.3°, I = 182

Structure:
```
V3H5O8
1.0
3.0702 0.0000 0.0000
0.0273 4.9295 0.0000
1.4894 2.2325 9.7777
V H O
3 5 8
Direct
0.0000 0.0000 0.0000 V
0.1599 0.8750 0.6092 V
0.3681 0.7133 0.2690 V
0.4609 0.8982 0.8099 H
0.5001 0.4340 0.0052 H
0.6804 0.4250 0.6406 H
0.8022 0.3239 0.4055 H
0.8790 0.1728 0.2418 H
0.1472 0.9307 0.8044 O
0.2812 0.7816 0.4332 O
0.4664 0.7155 0.0769 O
0.5164 0.2639 0.9652 O
0.6567 0.6061 0.6678 O
0.7431 0.1184 0.5671 O
0.8496 0.4319 0.3076 O
0.8949 0.9932 0.2075 O
```

The following is a calculated PXRD pattern of V3H6O10. It was derived from a GGA+U-relaxed structure, using a wavelength of 1.5418 Å.

Largest 10 diffraction maxima, sorted by position, 10° ≤ 2θ ≤ 90°:
(1 0 0), 14.8°, I = 1000; (0 2 1), 22.4°, I = 215; (0 2 -1), 22.6°, I = 148; (1 2 1), 24.4°, I = 162; (1 1 2), 24.7°, I = 159; (1 2 -1), 25.6°, I = 116; (1 1 -2), 26.8°, I = 113; (1 -1 2), 26.9°, I = 120; (1 -2 1), 28.6°, I = 171; (2 0 0), 29.8°, I = 229

Structure:
```
V3H6O10
1.0
6.1125 0.0000 0.0000
1.5547 8.7909 0.0000
0.7698 0.0981 8.9799
V H O
6 12 20
Direct
0.0000 0.0000 0.0000 V
0.0004 0.1369 0.6259 V
0.0132 0.6215 0.1266 V
0.0338 0.2623 0.2599 V
0.9506 0.7749 0.4936 V
0.9715 0.4885 0.7779 V
0.3210 0.8320 0.7737 H
0.3699 0.4494 0.5211 H
0.3788 0.3371 0.0331 H
0.5082 0.6818 0.7822 H
0.5508 0.8824 0.3317 H
0.5641 0.8146 0.5914 H
0.5786 0.3699 0.9042 H
0.5814 0.3995 0.4036 H
0.5846 0.9611 0.1584 H
0.5878 0.1880 0.9901 H
0.5913 0.7764 0.1832 H
0.6233 0.2996 0.5826 H
0.0055 0.6282 0.6290 O
0.0588 0.7089 0.3227 O
0.0599 0.9293 0.5422 O
0.0776 0.0316 0.8129 O
0.0894 0.8116 0.0420 O
0.0961 0.3119 0.7081 O
0.1048 0.5346 0.9278 O
0.1203 0.1993 0.4357 O
0.1210 0.1180 0.1174 O
0.1534 0.4220 0.1992 O
0.4758 0.7867 0.7433 O
0.4888 0.2896 0.9533 O
0.5118 0.8838 0.2242 O
0.5325 0.4277 0.5097 O
0.6560 0.8280 0.4885 O
0.7000 0.4885 0.8285 O
0.7160 0.0462 0.0368 O
0.7181 0.1950 0.6306 O
0.7375 0.6386 0.1366 O
0.7592 0.3067 0.2700 O
```